Theoretical powder XRD pattern of ErAl3Au4 for Cu Ka, from a crystal structure in Alexandria, relaxed with PBE.
Neutral-atom scattering factors, no anomalous dispersion.

Most intense lines, 2θ from 10° to 90°, in order of rising 2θ:
d = 3.661 Å, I = 16
d = 3.305 Å, I = 67
d = 3.098 Å, I = 22
d = 2.691 Å, I = 41
d = 2.506 Å, I = 96
d = 2.198 Å, I = 100
d = 1.653 Å, I = 27
d = 1.381 Å, I = 32
d = 1.321 Å, I = 26
d = 1.269 Å, I = 18

Structure:
abc: 9.235 9.235 9.235
angles: 27.54 27.54 27.54
Element x y z (fractional)
Er  0.000  0.000  0.000
Al  0.248  0.248  0.248
Al  0.500  0.500  0.500
Al  0.752  0.752  0.752
Au  0.130  0.130  0.130
Au  0.395  0.395  0.395
Au  0.605  0.605  0.605
Au  0.870  0.870  0.870

---

Theoretical powder XRD pattern of Ti2PdCl for Cu Ka, from a crystal structure in Alexandria, relaxed with PBE.
Neutral-atom scattering factors, no anomalous dispersion.

Most intense lines, 2θ from 10° to 90°, in order of rising 2θ:
d = 3.671 Å, I = 23
d = 3.179 Å, I = 6
d = 2.248 Å, I = 100
d = 1.917 Å, I = 12
d = 1.590 Å, I = 16
d = 1.459 Å, I = 5
d = 1.422 Å, I = 2
d = 1.298 Å, I = 31
d = 1.224 Å, I = 4
d = 1.124 Å, I = 10

Structure:
abc: 6.359 6.359 6.359
angles: 90.00 90.00 90.00
Element x y z (fractional)
Ti  0.250  0.250  0.250
Ti  0.250  0.250  0.750
Ti  0.250  0.750  0.250
Ti  0.250  0.750  0.750
Ti  0.750  0.250  0.250
Ti  0.750  0.250  0.750
Ti  0.750  0.750  0.250
Ti  0.750  0.750  0.750
Pd  0.000  0.000  0.000
Pd  0.000  0.500  0.500
Pd  0.500  0.000  0.500
Pd  0.500  0.500  0.000
Cl  0.000  0.000  0.500
Cl  0.000  0.500  0.000
Cl  0.500  0.000  0.000
Cl  0.500  0.500  0.500

---

Theoretical powder XRD pattern of Ni4MoPd3 for Cu Ka, from a crystal structure in Alexandria, relaxed with PBE.
Neutral-atom scattering factors, no anomalous dispersion.

Most intense lines, 2θ from 10° to 90°, in order of rising 2θ:
d = 3.573 Å, I = 6
d = 2.717 Å, I = 5
d = 2.163 Å, I = 100
d = 1.921 Å, I = 35
d = 1.787 Å, I = 13
d = 1.692 Å, I = 3
d = 1.358 Å, I = 11
d = 1.308 Å, I = 18
d = 1.150 Å, I = 24
d = 1.091 Å, I = 10

Structure:
abc: 3.842 3.842 14.294
angles: 90.00 90.00 90.00
Element x y z (fractional)
Ni  0.000  0.500  0.121
Ni  0.000  0.500  0.379
Ni  0.000  0.500  0.621
Ni  0.000  0.500  0.879
Ni  0.500  0.000  0.121
Ni  0.500  0.000  0.379
Ni  0.500  0.000  0.621
Ni  0.500  0.000  0.879
Mo  0.000  0.000  0.000
Mo  0.500  0.500  0.500
Pd  0.000  0.000  0.252
Pd  0.000  0.000  0.500
Pd  0.000  0.000  0.748
Pd  0.500  0.500  0.000
Pd  0.500  0.500  0.248
Pd  0.500  0.500  0.752